# 1
# Li2SnB2O6
Calculated XRD peak list, Cu Kα X-rays. Input: a crystal structure in the Materials Project, relaxed with PBE.
Lines closer than 0.1° are merged.

Atomic structure:
Lattice parameters (Å, degrees): 5.2627 8.9411 10.2882 89.67 87.33 89.18
Space group P1 (No. 1)
Unique sites:
Li 0.0000 0.0000 0.0000 x1
Li 0.0160 0.9909 0.4215 x1
Li 0.4567 0.5534 0.9040 x1
Li 0.5072 0.5734 0.5009 x1
Li 0.7680 0.4882 0.1565 x1
Li 0.8065 0.1712 0.2148 x1
Li 0.8282 0.5054 0.7135 x1
Li 0.9504 0.6802 0.9391 x1
Sn 0.0206 0.3312 0.4489 x1
Sn 0.2643 0.7372 0.1975 x1
Sn 0.5015 0.2212 0.9528 x1
Sn 0.7617 0.8491 0.6926 x1
B 0.2962 0.3848 0.1878 x1
B 0.3074 0.7284 0.7127 x1
B 0.4733 0.2315 0.4287 x1
B 0.4737 0.8772 0.9530 x1
B 0.7943 0.1889 0.6909 x1
B 0.8002 0.8324 0.1953 x1
B 0.9709 0.3507 0.9486 x1
B 0.9911 0.6832 0.4560 x1
O 0.0478 0.3642 0.2380 x1
O 0.0501 0.6918 0.7368 x1
O 0.2255 0.3814 0.9295 x1
O 0.2302 0.6985 0.3956 x1
O 0.2650 0.1411 0.4216 x1
O 0.3292 0.7505 0.9873 x1
O 0.3553 0.0140 0.9717 x1
O 0.3766 0.8747 0.6913 x1
O 0.4049 0.5245 0.1719 x1
O 0.4074 0.3807 0.4576 x1
O 0.4584 0.2650 0.1496 x1
O 0.5051 0.6231 0.7130 x1
O 0.5553 0.8768 0.2116 x1
O 0.5706 0.2088 0.7627 x1
O 0.7256 0.1893 0.4020 x1
O 0.7282 0.8632 0.9061 x1
O 0.7905 0.4623 0.9364 x1
O 0.8563 0.8097 0.4983 x1
O 0.8768 0.5465 0.4767 x1
O 0.8859 0.6874 0.1605 x1
O 0.8896 0.2059 0.9859 x1
O 0.9001 0.0515 0.6580 x1
O 0.9182 0.3153 0.6428 x1
O 0.9971 0.9332 0.2076 x1

Largest 6 diffraction maxima, low angle first, 15 to 90 degrees two-theta:
4.771 Å, 18.60 deg, I 75, (1 0 1)
4.467 Å, 19.87 deg, I 100, (0 1 2)
4.445 Å, 19.97 deg, I 52, (0 1 -2)
4.101 Å, 21.67 deg, I 27, (1 1 -1)
4.069 Å, 21.84 deg, I 22, (-1 1 1)
2.569 Å, 34.92 deg, I 40, (0 0 4)



# 2
# Bi8Te9
Calculated XRD peak list, Cu Kα X-rays. Input: a crystal structure in the Materials Project, relaxed with PBE.
Lines closer than 0.1° are merged.

Atomic structure:
Lattice parameters (Å, degrees): 4.4829 4.4829 104.6882 90.00 90.00 120.00
Space group R-3m (No. 166, hexagonal axes)
Unique sites:
Bi 0.0000 0.0000 0.0879 x6
Bi 0.0000 0.0000 0.1475 x6
Bi 0.0000 0.0000 0.3254 x6
Bi 0.0000 0.0000 0.3824 x6
Te 0.0000 0.0000 0.0326 x6
Te 0.0000 0.0000 0.2021 x6
Te 0.0000 0.0000 0.2651 x6
Te 0.0000 0.0000 0.4374 x6
Te 0.0000 0.0000 0.5000 x3

Largest 6 diffraction maxima, low angle first, 15 to 90 degrees two-theta:
3.284 Å, 27.15 deg, I 100, (0 1 17)
2.412 Å, 37.27 deg, I 38, (1 0 34)
2.242 Å, 40.22 deg, I 44, (1 1 0)
1.851 Å, 49.22 deg, I 20, (2 0 17)
1.514 Å, 61.23 deg, I 15, (1 1 51)
1.427 Å, 65.38 deg, I 17, (1 2 17)